# Li2Ni3BiO8
Simulated PXRD pattern, CuKα. Input: a cell relaxed with PBE+U.

Peak list (8 most intense, 10 to 80 degrees two-theta, by angle)
| 2θ (°) | I (rel.) |
| --- | --- |
| 18.3 | 100 |
| 20.9 | 19 |
| 34.1 | 23 |
| 35.1 | 46 |
| 37.1 | 17 |
| 42.5 | 40 |
| 47.5 | 15 |
| 60.3 | 13 |

Structural model:
a = 5.8975 Å, b = 5.8975 Å, c = 15.3523 Å
α = 90.00°, β = 90.00°, γ = 120.00°
Space group R-3m (No. 166, hexagonal axes)
Inequivalent atoms, fractional coordinates:
Li (0.0000, 0.0000, 0.1210) x6
Ni (0.0000, 0.5000, 0.0000) x9
Bi (0.0000, 0.0000, 0.5000) x3
O (0.0000, 0.0000, 0.2712) x6
O (0.0192, 0.5096, 0.2579) x18